Be3Cd5: computed XRD peak list (λ = 1.5418 Å (Cu Kα)), based on a structure optimized by DFT (GGA-PBE).
Intensities are scaled so that the largest is 100.

Structural model:
```
data_Be3Cd5
_chemical_formula_sum 'Be6 Cd10'
_cell_length_a 5.894
_cell_length_b 7.365
_cell_length_c 7.468
_cell_angle_alpha 82.02
_cell_angle_beta 68.75
_cell_angle_gamma 66.93
_space_group_name_H-M_alt 'P 1'
_space_group_IT_number 1
loop_
_space_group_symop_operation_xyz
'x,y,z'
loop_
_atom_site_label
_atom_site_type_symbol
_atom_site_fract_x
_atom_site_fract_y
_atom_site_fract_z
_atom_site_occupancy
Be1 Be 0.000 0.000 0.000 1
Be2 Be 0.003 0.518 0.163 1
Be3 Be 0.128 0.657 0.659 1
Be4 Be 0.338 0.994 0.346 1
Be5 Be 0.456 0.365 0.674 1
Be6 Be 0.577 0.528 0.176 1
Cd1 Cd 0.073 0.793 0.310 1
Cd2 Cd 0.200 0.373 0.445 1
Cd3 Cd 0.373 0.642 0.898 1
Cd4 Cd 0.410 0.014 0.678 1
Cd5 Cd 0.467 0.229 0.048 1
Cd6 Cd 0.612 0.650 0.469 1
Cd7 Cd 0.705 0.808 0.004 1
Cd8 Cd 0.848 0.218 0.306 1
Cd9 Cd 0.888 0.050 0.674 1
Cd10 Cd 0.970 0.368 0.877 1
```

Most intense lines, 5° ≤ 2θ ≤ 70°, by angle:
- 3.475 Å, intensity 55
- 3.096 Å, intensity 61
- 3.046 Å, intensity 55
- 2.945 Å, intensity 100
- 2.507 Å, intensity 37
- 2.442 Å, intensity 36
- 2.425 Å, intensity 57
- 2.222 Å, intensity 42
- 2.212 Å, intensity 49
- 2.171 Å, intensity 63

---

Ce2BeCdPt6: computed XRD peak list (λ = 1.5418 Å (Cu Kα)), based on a structure optimized by DFT (GGA-PBE).
Intensities are scaled so that the largest is 100.

Structural model:
```
data_Ce2BeCdPt6
_chemical_formula_sum 'Ce2 Be1 Cd1 Pt6'
_cell_length_a 8.666
_cell_length_b 8.666
_cell_length_c 8.666
_cell_angle_alpha 37.83
_cell_angle_beta 37.83
_cell_angle_gamma 37.83
_space_group_name_H-M_alt 'P 1'
_space_group_IT_number 1
loop_
_space_group_symop_operation_xyz
'x,y,z'
loop_
_atom_site_label
_atom_site_type_symbol
_atom_site_fract_x
_atom_site_fract_y
_atom_site_fract_z
_atom_site_occupancy
Ce1 Ce 0.205 0.205 0.205 1
Ce2 Ce 0.795 0.795 0.795 1
Be1 Be 0.500 0.500 0.500 1
Cd1 Cd 0.000 0.000 0.000 1
Pt1 Pt 0.237 0.737 0.737 1
Pt2 Pt 0.263 0.263 0.763 1
Pt3 Pt 0.263 0.763 0.263 1
Pt4 Pt 0.737 0.237 0.737 1
Pt5 Pt 0.737 0.737 0.237 1
Pt6 Pt 0.763 0.263 0.263 1
```

Most intense lines, 5° ≤ 2θ ≤ 70°, by angle:
- 8.036 Å, intensity 55
- 4.512 Å, intensity 23
- 4.018 Å, intensity 62
- 2.679 Å, intensity 31
- 2.385 Å, intensity 100
- 2.302 Å, intensity 28
- 2.256 Å, intensity 97
- 2.172 Å, intensity 33
- 1.893 Å, intensity 25
- 1.405 Å, intensity 30

---

Be2CdCl: computed XRD peak list (λ = 1.5418 Å (Cu Kα)), based on a structure optimized by DFT (GGA-PBE).
Intensities are scaled so that the largest is 100.

Structural model:
```
data_Be2CdCl
_chemical_formula_sum 'Be2 Cd1 Cl1'
_cell_length_a 7.584
_cell_length_b 7.584
_cell_length_c 4.205
_cell_angle_alpha 91.56
_cell_angle_beta 91.56
_cell_angle_gamma 21.67
_space_group_name_H-M_alt 'P 1'
_space_group_IT_number 1
loop_
_space_group_symop_operation_xyz
'x,y,z'
loop_
_atom_site_label
_atom_site_type_symbol
_atom_site_fract_x
_atom_site_fract_y
_atom_site_fract_z
_atom_site_occupancy
Be1 Be 0.000 0.000 0.000 1
Be2 Be 0.624 0.624 0.014 1
Cd1 Cd 0.137 0.137 0.515 1
Cl1 Cl 0.407 0.407 0.993 1
```

Most intense lines, 5° ≤ 2θ ≤ 70°, by angle:
- 7.446 Å, intensity 100
- 3.723 Å, intensity 61
- 3.704 Å, intensity 57
- 3.618 Å, intensity 56
- 2.800 Å, intensity 33
- 2.472 Å, intensity 27
- 2.336 Å, intensity 26
- 2.325 Å, intensity 23
- 2.118 Å, intensity 17
- 1.863 Å, intensity 25